Theoretical X-ray diffraction stick pattern of Ac3Ga8 for Cu Kα, from a structure optimized by DFT (GGA-PBE).

Atomic structure:
a = 13.280 Å, b = 13.280 Å, c = 13.280 Å
α = 160.87°, β = 159.73°, γ = 28.01°
Atoms (fractional coordinates):
Ac1 0.000 0.000 0.000
Ac2 0.147 0.647 0.500
Ac3 0.853 0.353 0.500
Ga1 0.248 0.248 0.000
Ga2 0.304 0.804 0.500
Ga3 0.403 0.903 0.500
Ga4 0.451 0.451 0.000
Ga5 0.549 0.549 0.000
Ga6 0.597 0.097 0.500
Ga7 0.696 0.196 0.500
Ga8 0.752 0.752 0.000

The 6 most intense peaks (2θ from 5° to 70°), low angle first:
2θ = 28.67°, intensity 23.1
2θ = 30.92°, intensity 52.6
2θ = 31.14°, intensity 100.0
2θ = 38.53°, intensity 29.1
2θ = 40.90°, intensity 24.6
2θ = 52.14°, intensity 24.8

---

Theoretical X-ray diffraction stick pattern of Sc4CuPb for Cu Kα, from a structure optimized by DFT (GGA-PBE).

Atomic structure:
a = 5.833 Å, b = 5.833 Å, c = 5.833 Å
α = 60.00°, β = 60.00°, γ = 60.00°
Atoms (fractional coordinates):
Sc1 0.125 0.125 0.125
Sc2 0.125 0.125 0.624
Sc3 0.125 0.624 0.125
Sc4 0.624 0.125 0.125
Cu1 0.750 0.750 0.750
Pb1 0.500 0.500 0.500

The 6 most intense peaks (2θ from 5° to 70°), low angle first:
2θ = 18.63°, intensity 35.1
2θ = 30.65°, intensity 64.7
2θ = 36.11°, intensity 100.0
2θ = 54.49°, intensity 25.9
2θ = 58.10°, intensity 32.7
2θ = 63.83°, intensity 20.4

---

Theoretical X-ray diffraction stick pattern of ScMn4P2 for Cu Kα, from a structure optimized by DFT (GGA-PBE).

Atomic structure:
a = 6.828 Å, b = 6.828 Å, c = 3.676 Å
α = 90.00°, β = 90.00°, γ = 90.00°
Atoms (fractional coordinates):
Sc1 0.000 0.000 0.000
Sc2 0.500 0.500 0.500
Mn1 0.087 0.345 0.500
Mn2 0.155 0.587 0.000
Mn3 0.345 0.087 0.500
Mn4 0.413 0.845 0.000
Mn5 0.587 0.155 0.000
Mn6 0.655 0.913 0.500
Mn7 0.845 0.413 0.000
Mn8 0.913 0.655 0.500
P1 0.213 0.787 0.500
P2 0.287 0.287 0.000
P3 0.713 0.713 0.000
P4 0.787 0.213 0.500

The 6 most intense peaks (2θ from 5° to 70°), low angle first:
2θ = 18.38°, intensity 41.3
2θ = 38.32°, intensity 100.0
2θ = 41.84°, intensity 46.2
2θ = 44.92°, intensity 81.1
2θ = 48.92°, intensity 72.3
2θ = 49.60°, intensity 41.2